(1)
For Ac2CdSb3Pd4, the GGA-PBE geometry in Alexandria gives the simulated powder X-ray diffraction pattern in this record (a wavelength of 1.5418 Å).

Principal peaks in the range 2θ from 5° to 70°, low angle first:
27.0 deg, rel. 18
31.2 deg, rel. 65
31.6 deg, rel. 100
38.5 deg, rel. 65
46.0 deg, rel. 26
50.3 deg, rel. 35
55.6 deg, rel. 22
57.9 deg, rel. 13
61.4 deg, rel. 22
65.4 deg, rel. 25

Atomic structure:
a b c (Å): 4.679 4.679 10.893
angles (deg): 90.00 90.00 90.00
Space group P-4m2 (No. 115)
Inequivalent atoms, fractional coordinates:
Ac1 0.000 0.500 0.237 (multiplicity 2)
Cd1 0.000 0.000 0.500 (multiplicity 1)
Sb1 0.000 0.500 0.871 (multiplicity 2)
Sb2 0.500 0.500 0.500 (multiplicity 1)
Pd1 0.000 0.000 0.000 (multiplicity 1)
Pd2 0.000 0.500 0.630 (multiplicity 2)
Pd3 0.500 0.500 0.000 (multiplicity 1)

(2)
For Li2Ca8Zn, the GGA-PBE geometry in Alexandria gives the simulated powder X-ray diffraction pattern in this record (a wavelength of 1.5418 Å).

Principal peaks in the range 2θ from 5° to 70°, low angle first:
11.1 deg, rel. 24
22.2 deg, rel. 23
29.0 deg, rel. 30
30.7 deg, rel. 37
30.8 deg, rel. 100
32.2 deg, rel. 31
43.8 deg, rel. 18
49.7 deg, rel. 13
56.5 deg, rel. 21
57.2 deg, rel. 12

Atomic structure:
a b c (Å): 5.562 9.463 14.655
angles (deg): 90.00 90.00 90.00
Space group Immm (No. 71)
Inequivalent atoms, fractional coordinates:
Li1 0.000 0.000 0.201 (multiplicity 4)
Ca1 0.000 0.182 0.000 (multiplicity 4)
Ca2 0.000 0.276 0.346 (multiplicity 8)
Ca3 0.000 0.500 0.129 (multiplicity 4)
Zn1 0.000 0.000 0.500 (multiplicity 2)